Starting from a crystal structure in Alexandria, relaxed with GGA+U, the powder X-ray diffraction pattern of Mg2Ta2CrO8 was calculated for CuKα.
Peak positions follow from Bragg's law for the DFT cell and can differ from measured ones.

abc: 5.2081 6.0797 10.0780
angles: 104.94 91.08 90.97
Positions (direct):
Mg 0.2443 0.3705 0.4563
Mg 0.2529 0.9159 0.5463
Mg 0.7471 0.0841 0.4537
Mg 0.7557 0.6295 0.5437
Ta 0.2397 0.7936 0.2385
Ta 0.2650 0.5319 0.7631
Ta 0.7350 0.4681 0.2369
Ta 0.7603 0.2064 0.7615
Cr 0.2494 0.1513 0.9983
Cr 0.7506 0.8487 0.0017
O 0.0463 0.2005 0.6225
O 0.0631 0.4921 0.1509
O 0.0891 0.9473 0.1196
O 0.1242 0.6551 0.6159
O 0.3782 0.0527 0.3844
O 0.4255 0.7820 0.8786
O 0.4282 0.2932 0.8497
O 0.4506 0.5903 0.3741
O 0.5494 0.4097 0.6259
O 0.5718 0.7068 0.1503
O 0.5745 0.2180 0.1214
O 0.6218 0.9473 0.6156
O 0.8758 0.3449 0.3841
O 0.9109 0.0527 0.8804
O 0.9369 0.5079 0.8491
O 0.9537 0.7995 0.3775

Largest 6 diffraction maxima, in order of rising 2θ, 2θ from 10° to 90°:
hkl, 2theta, I (rel.)
0 0 2, 18.23, 100
1 -1 1, 23.04, 67
-1 1 1, 25.67, 47
1 1 -2, 26.66, 58
2 0 0, 34.44, 86
2 0 -2, 38.81, 53